Simulated powder diffractogram of Ho2Er2In5Os2 for λ = 1.5418 Å (Cu Kα), from a crystal structure in OQMD, relaxed with PBE.

Top 6 peaks for 10 to 90 degrees two-theta, sorted by position:
d/Å  2theta  I/Imax  index
7.703  11.49  711  1 0 0
2.730  32.81  914  1 1 -2
2.655  33.76  1000  1 1 2
2.627  34.13  929  2 1 0
2.386  37.70  879  0 1 3
2.351  38.29  593  2 1 -2

Atomic structure:
Cell lengths 7.722, 3.593, 9.586 Å; angles 90.00, 94.05, 90.00 degrees
Space group P2/m (No. 10)
Symmetry-distinct sites (fractional):
1 Ho 0.173 0.000 0.346 [2 per cell]
2 Er 0.224 0.000 0.940 [2 per cell]
3 In 0.170 0.500 0.649 [2 per cell]
4 In 0.447 0.500 0.174 [2 per cell]
5 In 0.500 0.500 0.500 [1 per cell]
6 Os 0.067 0.500 0.132 [2 per cell]